Record 1
Structure and simulated powder XRD pattern of HfMnBe10 (DFT lattice parameters and positions (PBE); a wavelength of 1.5418 Å).

Lattice parameters (Å, degrees): 3.461 4.364 7.573 90.00 90.00 90.00
Space group Pmmm (No. 47)
Symmetry-distinct sites (fractional):
Hf1 0.000 0.000 0.000 x1
Mn1 0.000 0.500 0.500 x1
Be1 0.000 0.000 0.346 x2
Be2 0.000 0.500 0.185 x2
Be3 0.500 0.000 0.500 x1
Be4 0.500 0.250 0.258 x4
Be5 0.500 0.500 0.000 x1

Most intense lines, 15° ≤ 2θ ≤ 90°, in order of rising 2θ:
| d_spacing | intensity |
| --- | --- |
| 3.783 | 100 |
| 3.461 | 31 |
| 2.554 | 92 |
| 2.184 | 32 |
| 1.892 | 23 |
| 1.847 | 46 |
| 1.660 | 16 |
| 1.574 | 17 |

***

Record 2
Structure and simulated powder XRD pattern of HfBe2Mo2 (DFT lattice parameters and positions (PBE); a wavelength of 1.5418 Å).

Lattice parameters (Å, degrees): 6.451 6.451 3.279 90.00 90.00 90.00
Space group P4/mbm (No. 127)
Symmetry-distinct sites (fractional):
Hf1 0.000 0.000 0.000 x2
Be1 0.113 0.387 0.000 x4
Mo1 0.175 0.675 0.500 x4

Most intense lines, 15° ≤ 2θ ≤ 90°, in order of rising 2θ:
| d_spacing | intensity |
| --- | --- |
| 4.562 | 54 |
| 2.885 | 39 |
| 2.663 | 77 |
| 2.300 | 100 |
| 2.281 | 34 |
| 2.166 | 43 |
| 2.040 | 59 |
| 1.379 | 30 |

***

Record 3
Structure and simulated powder XRD pattern of HfBe10Mo (DFT lattice parameters and positions (PBE); a wavelength of 1.5418 Å).

Lattice parameters (Å, degrees): 3.395 4.411 7.685 90.00 90.00 90.00
Space group Pmmm (No. 47)
Symmetry-distinct sites (fractional):
Hf1 0.000 0.000 0.000 x1
Be1 0.000 0.000 0.345 x2
Be2 0.000 0.500 0.179 x2
Be3 0.500 0.000 0.500 x1
Be4 0.500 0.255 0.260 x4
Be5 0.500 0.500 0.000 x1
Mo1 0.000 0.500 0.500 x1

Most intense lines, 15° ≤ 2θ ≤ 90°, in order of rising 2θ:
| d_spacing | intensity |
| --- | --- |
| 3.843 | 40 |
| 3.826 | 78 |
| 3.395 | 33 |
| 2.541 | 100 |
| 2.215 | 24 |
| 1.913 | 17 |
| 1.855 | 33 |
| 1.552 | 18 |

***

Record 4
Structure and simulated powder XRD pattern of Hf6BeN3 (DFT lattice parameters and positions (PBE); a wavelength of 1.5418 Å).

Lattice parameters (Å, degrees): 9.897 3.232 10.303 90.00 116.14 90.00
Space group P2_1/m (No. 11)
Symmetry-distinct sites (fractional):
Hf1 0.039 0.250 0.392 x2
Hf2 0.106 0.750 0.935 x2
Hf3 0.228 0.750 0.269 x2
Hf4 0.263 0.250 0.785 x2
Hf5 0.425 0.250 0.577 x2
Hf6 0.429 0.250 0.122 x2
Be1 0.222 0.750 0.574 x2
N1 0.028 0.250 0.772 x2
N2 0.349 0.750 0.944 x2
N3 0.406 0.250 0.344 x2

Most intense lines, 15° ≤ 2θ ≤ 90°, in order of rising 2θ:
| d_spacing | intensity |
| --- | --- |
| 2.705 | 100 |
| 2.669 | 88 |
| 2.613 | 43 |
| 2.566 | 83 |
| 2.472 | 85 |
| 2.348 | 55 |
| 2.231 | 54 |
| 1.616 | 36 |

***

Record 5
Structure and simulated powder XRD pattern of Hf3TiBe2N (DFT lattice parameters and positions (PBE); a wavelength of 1.5418 Å).

Lattice parameters (Å, degrees): 3.993 4.186 13.353 90.00 90.00 90.00
Space group Immm (No. 71)
Symmetry-distinct sites (fractional):
Hf1 0.000 0.000 0.000 x2
Hf2 0.000 0.500 0.173 x4
Ti1 0.000 0.000 0.500 x2
Be1 0.000 0.500 0.372 x4
N1 0.000 0.500 0.000 x2

Most intense lines, 15° ≤ 2θ ≤ 90°, in order of rising 2θ:
| d_spacing | intensity |
| --- | --- |
| 3.826 | 66 |
| 3.049 | 88 |
| 2.652 | 100 |
| 2.226 | 30 |
| 2.185 | 40 |
| 1.670 | 32 |
| 1.524 | 35 |
| 1.445 | 36 |

***

Record 6
Structure and simulated powder XRD pattern of Hf2BeNb (DFT lattice parameters and positions (PBE); a wavelength of 1.5418 Å).

Lattice parameters (Å, degrees): 4.253 4.253 3.996 90.00 90.00 90.00
Space group P4/mmm (No. 123)
Symmetry-distinct sites (fractional):
Hf1 0.000 0.500 0.000 x2
Be1 0.000 0.000 0.500 x1
Nb1 0.500 0.500 0.500 x1

Most intense lines, 15° ≤ 2θ ≤ 90°, in order of rising 2θ:
| d_spacing | intensity |
| --- | --- |
| 3.996 | 28 |
| 3.007 | 28 |
| 2.403 | 100 |
| 2.126 | 35 |
| 1.998 | 15 |
| 1.877 | 15 |
| 1.456 | 21 |
| 1.275 | 27 |

***

Record 7
Structure and simulated powder XRD pattern of HfBe2Nb2Ru5 (DFT lattice parameters and positions (PBE); a wavelength of 1.5418 Å).

Lattice parameters (Å, degrees): 9.433 9.433 3.185 90.00 90.00 90.00
Space group P4/mbm (No. 127)
Symmetry-distinct sites (fractional):
Hf1 0.000 0.000 0.000 x2
Be1 0.122 0.378 0.000 x4
Nb1 0.174 0.674 0.000 x4
Ru1 0.000 0.500 0.500 x2
Ru2 0.075 0.213 0.500 x8

Most intense lines, 15° ≤ 2θ ≤ 90°, in order of rising 2θ:
| d_spacing | intensity |
| --- | --- |
| 2.542 | 43 |
| 2.303 | 32 |
| 2.288 | 45 |
| 2.177 | 100 |
| 2.109 | 39 |
| 2.022 | 21 |
| 1.592 | 16 |
| 1.230 | 23 |

***

Record 8
Structure and simulated powder XRD pattern of Hf4BeNi (DFT lattice parameters and positions (PBE); a wavelength of 1.5418 Å).

Lattice parameters (Å, degrees): 6.525 6.525 4.998 90.00 90.00 90.00
Space group I422 (No. 97)
Symmetry-distinct sites (fractional):
Hf1 0.160 0.340 0.250 x8
Be1 0.000 0.000 0.500 x2
Ni1 0.000 0.000 0.000 x2

Most intense lines, 15° ≤ 2θ ≤ 90°, in order of rising 2θ:
| d_spacing | intensity |
| --- | --- |
| 2.520 | 100 |
| 2.499 | 17 |
| 2.063 | 19 |
| 1.984 | 12 |
| 1.509 | 16 |
| 1.447 | 18 |
| 1.310 | 13 |
| 1.178 | 12 |